Theoretical XRD peak list
Compound: LiFeP2O7
Radiation: Cu Kα X-rays
Structure: a DFT-relaxed cell (GGA+U, the Materials Project)

Structure:
a = 8.6084 Å, b = 5.1071 Å, c = 13.7076 Å
α = 90.00°, β = 116.07°, γ = 90.00°
Space group Pc (No. 7)
One atom of each set of equivalent atoms:
Li1 0.0000 0.0124 0.0000 (multiplicity 2)
Li2 0.4382 0.4757 0.9005 (multiplicity 2)
Fe1 0.1727 0.0067 0.2826 (multiplicity 2)
Fe2 0.7108 0.4883 0.3343 (multiplicity 2)
P1 0.1322 0.4993 0.9332 (multiplicity 2)
P2 0.2668 0.4979 0.1709 (multiplicity 2)
P3 0.6112 0.0088 0.4544 (multiplicity 2)
P4 0.7507 0.0144 0.6979 (multiplicity 2)
O1 0.1164 0.2048 0.9100 (multiplicity 2)
O2 0.1484 0.2927 0.6833 (multiplicity 2)
O3 0.1947 0.2189 0.1624 (multiplicity 2)
O4 0.2163 0.3534 0.3709 (multiplicity 2)
O5 0.2770 0.4516 0.5578 (multiplicity 2)
O6 0.4248 0.0807 0.8816 (multiplicity 2)
O7 0.4508 0.4704 0.7589 (multiplicity 2)
O8 0.6170 0.0297 0.0729 (multiplicity 2)
O9 0.6448 0.3015 0.4472 (multiplicity 2)
O10 0.6779 0.1613 0.2572 (multiplicity 2)
O11 0.7458 0.1700 0.9429 (multiplicity 2)
O12 0.7461 0.3028 0.7274 (multiplicity 2)
O13 0.9275 0.0693 0.2084 (multiplicity 2)
O14 0.9654 0.3759 0.4272 (multiplicity 2)

The 12 most intense peaks (2θ = 5–70°), by intensity:
- 22.3 deg, d = 3.985 Å, rel. 100.0
- 23.0 deg, d = 3.866 Å, rel. 62.7
- 14.4 deg, d = 6.156 Å, rel. 49.9
- 31.5 deg, d = 2.844 Å, rel. 36.9
- 35.9 deg, d = 2.501 Å, rel. 19.4
- 35.1 deg, d = 2.554 Å, rel. 15.0
- 32.3 deg, d = 2.771 Å, rel. 12.3
- 29.0 deg, d = 3.080 Å, rel. 9.7
- 43.6 deg, d = 2.076 Å, rel. 8.8
- 39.7 deg, d = 2.273 Å, rel. 8.7
- 63.6 deg, d = 1.464 Å, rel. 8.7
- 54.0 deg, d = 1.697 Å, rel. 7.8